This entry pairs a crystal structure of Ac3PmNd2 with its theoretical XRD peak list. Radiation: Cu Kα. Structure: DFT lattice parameters and positions (PBE).
Lines closer than 0.1° are merged.

The 10 most intense peaks (2θ = 15–90°), in order of rising 2θ:
- d = 3.479 Å, I 23, hkl 1 1 -1
- d = 3.217 Å, I 41, hkl 2 0 -3
- d = 3.190 Å, I 52, hkl 2 0 3
- d = 3.152 Å, I 20, hkl 1 0 -4
- d = 2.998 Å, I 19, hkl 3 0 -1
- d = 2.982 Å, I 100, hkl 2 1 0
- d = 2.941 Å, I 95, hkl 0 1 3
- d = 1.964 Å, I 19, hkl 3 1 -4
- d = 1.956 Å, I 18, hkl 0 2 0
- d = 1.667 Å, I 19, hkl 2 2 3

Structural model:
```
12
Lattice="9.210 0.000 0.000 0.000 3.912 0.000 -0.114 0.000 13.377" Properties=species:S:1:pos:R:3 pbc="T T T"
Ac 0.812 0.978 5.224
Ac 2.978 2.934 12.644
Ac 3.653 2.934 3.350
Ac 5.443 0.978 10.028
Ac 6.118 0.978 0.734
Ac 8.285 2.934 8.153
Pm 1.631 0.978 9.902
Pm 7.465 2.934 3.476
Nd 0.686 0.978 1.482
Nd 3.228 2.934 7.361
Nd 5.868 0.978 6.017
Nd 8.410 2.934 11.895
```